Entry 1:
Theoretical powder X-ray diffraction pattern
Compound: Ca4P2Br
Radiation: CuKα
Structure: a crystal structure in Alexandria, relaxed with GGA-PBE

Structural model:
```
data_Ca4P2Br
_symmetry_space_group_name_H-M 'P 1'
_symmetry_Int_Tables_number 1
_symmetry_space_group_name_Hall 'P 1'
_cell_length_a 8.621
_cell_length_b 8.621
_cell_length_c 8.621
_cell_angle_alpha 120.02
_cell_angle_beta 119.99
_cell_angle_gamma 89.99
loop_
_atom_site_label
_atom_site_type_symbol
_atom_site_fract_x
_atom_site_fract_y
_atom_site_fract_z
Ca1 Ca 0.268 0.232 0.037
Ca2 Ca 0.268 0.232 0.464
Ca3 Ca 0.268 0.805 0.036
Ca4 Ca 0.305 0.768 0.537
Ca5 Ca 0.695 0.232 0.463
Ca6 Ca 0.732 0.195 0.964
Ca7 Ca 0.732 0.768 0.536
Ca8 Ca 0.732 0.768 0.963
P1 P 0.000 0.000 0.000
P2 P 0.500 0.000 0.000
P3 P 0.500 0.000 0.500
P4 P 0.500 0.500 0.500
Br1 Br 0.125 0.375 0.750
Br2 Br 0.875 0.625 0.250
```

Top 12 peaks for 2θ from 10° to 90°, low angle first:
| two_theta | I_rel |
| --- | --- |
| 20.60 | 72 |
| 24.21 | 74 |
| 25.30 | 31 |
| 29.30 | 32 |
| 32.00 | 28 |
| 36.09 | 22 |
| 38.36 | 76 |
| 41.92 | 100 |
| 56.48 | 23 |
| 74.20 | 18 |
| 76.56 | 21 |
| 81.70 | 22 |



Entry 2:
Theoretical powder X-ray diffraction pattern
Compound: Ca6P2SeBr3
Radiation: CuKα
Structure: a crystal structure in Alexandria, relaxed with GGA-PBE

Structural model:
```
data_Ca6P2SeBr3
_symmetry_space_group_name_H-M 'P 1'
_symmetry_Int_Tables_number 1
_symmetry_space_group_name_Hall 'P 1'
_cell_length_a 7.329
_cell_length_b 7.329
_cell_length_c 7.425
_cell_angle_alpha 99.47
_cell_angle_beta 99.47
_cell_angle_gamma 120.00
loop_
_atom_site_label
_atom_site_type_symbol
_atom_site_fract_x
_atom_site_fract_y
_atom_site_fract_z
Ca1 Ca 0.084 0.430 0.790
Ca2 Ca 0.224 0.224 0.209
Ca3 Ca 0.430 0.084 0.790
Ca4 Ca 0.570 0.916 0.210
Ca5 Ca 0.776 0.776 0.791
Ca6 Ca 0.916 0.570 0.210
P1 P 0.167 0.833 0.000
P2 P 0.833 0.167 0.000
Se1 Se 0.500 0.500 0.000
Br1 Br 0.000 0.000 0.500
Br2 Br 0.337 0.663 0.500
Br3 Br 0.663 0.337 0.500
```

Top 12 peaks for 2θ from 10° to 90°, low angle first:
| two_theta | I_rel |
| --- | --- |
| 24.66 | 6 |
| 25.74 | 7 |
| 29.71 | 100 |
| 32.40 | 9 |
| 42.30 | 32 |
| 42.74 | 36 |
| 52.92 | 18 |
| 61.70 | 10 |
| 69.65 | 11 |
| 70.28 | 14 |
| 77.96 | 9 |
| 78.26 | 6 |



Entry 3:
Theoretical powder X-ray diffraction pattern
Compound: CaZnPBr
Radiation: CuKα
Structure: a crystal structure in Alexandria, relaxed with GGA-PBE

Structural model:
```
data_CaZnPBr
_symmetry_space_group_name_H-M 'P 1'
_symmetry_Int_Tables_number 1
_symmetry_space_group_name_Hall 'P 1'
_cell_length_a 14.132
_cell_length_b 14.132
_cell_length_c 14.132
_cell_angle_alpha 16.67
_cell_angle_beta 16.67
_cell_angle_gamma 16.67
loop_
_atom_site_label
_atom_site_type_symbol
_atom_site_fract_x
_atom_site_fract_y
_atom_site_fract_z
Ca1 Ca 0.082 0.082 0.082
Ca2 Ca 0.918 0.918 0.918
Zn1 Zn 0.312 0.312 0.312
Zn2 Zn 0.688 0.688 0.688
P1 P 0.372 0.372 0.372
P2 P 0.628 0.628 0.628
Br1 Br 0.212 0.212 0.212
Br2 Br 0.788 0.788 0.788
```

Top 12 peaks for 2θ from 10° to 90°, low angle first:
| two_theta | I_rel |
| --- | --- |
| 19.11 | 30 |
| 25.47 | 95 |
| 29.28 | 84 |
| 30.46 | 47 |
| 33.12 | 68 |
| 37.76 | 52 |
| 44.22 | 100 |
| 44.85 | 32 |
| 48.70 | 25 |
| 51.75 | 26 |
| 65.38 | 25 |
| 81.37 | 16 |



Entry 4:
Theoretical powder X-ray diffraction pattern
Compound: CaPa2Br8
Radiation: CuKα
Structure: a crystal structure in Alexandria, relaxed with GGA-PBE

Structural model:
```
data_CaPa2Br8
_symmetry_space_group_name_H-M 'P 1'
_symmetry_Int_Tables_number 1
_symmetry_space_group_name_Hall 'P 1'
_cell_length_a 8.204
_cell_length_b 8.204
_cell_length_c 8.112
_cell_angle_alpha 111.93
_cell_angle_beta 111.93
_cell_angle_gamma 65.32
loop_
_atom_site_label
_atom_site_type_symbol
_atom_site_fract_x
_atom_site_fract_y
_atom_site_fract_z
Ca1 Ca 0.000 0.000 0.000
Pa1 Pa 0.100 0.100 0.542
Pa2 Pa 0.900 0.900 0.458
Br1 Br 0.182 0.744 0.246
Br2 Br 0.211 0.211 0.309
Br3 Br 0.256 0.818 0.754
Br4 Br 0.305 0.305 0.817
Br5 Br 0.695 0.695 0.183
Br6 Br 0.744 0.182 0.246
Br7 Br 0.789 0.789 0.691
Br8 Br 0.818 0.256 0.754
```

Top 12 peaks for 2θ from 10° to 90°, low angle first:
| two_theta | I_rel |
| --- | --- |
| 12.17 | 33 |
| 12.29 | 100 |
| 14.91 | 55 |
| 20.05 | 22 |
| 23.53 | 17 |
| 24.72 | 13 |
| 30.09 | 46 |
| 31.85 | 13 |
| 36.24 | 20 |
| 40.15 | 12 |
| 40.76 | 15 |
| 44.93 | 23 |



Entry 5:
Theoretical powder X-ray diffraction pattern
Compound: CaPaBr6
Radiation: CuKα
Structure: a crystal structure in Alexandria, relaxed with GGA-PBE

Structural model:
```
data_CaPaBr6
_symmetry_space_group_name_H-M 'P 1'
_symmetry_Int_Tables_number 1
_symmetry_space_group_name_Hall 'P 1'
_cell_length_a 7.554
_cell_length_b 7.554
_cell_length_c 7.130
_cell_angle_alpha 98.02
_cell_angle_beta 98.02
_cell_angle_gamma 123.53
loop_
_atom_site_label
_atom_site_type_symbol
_atom_site_fract_x
_atom_site_fract_y
_atom_site_fract_z
Ca1 Ca 0.000 0.000 0.000
Pa1 Pa 0.500 0.500 0.500
Br1 Br 0.113 0.404 0.255
Br2 Br 0.255 0.255 0.741
Br3 Br 0.404 0.113 0.255
Br4 Br 0.596 0.887 0.745
Br5 Br 0.745 0.745 0.259
Br6 Br 0.887 0.596 0.745
```

Top 12 peaks for 2θ from 10° to 90°, low angle first:
| two_theta | I_rel |
| --- | --- |
| 12.99 | 24 |
| 13.30 | 71 |
| 14.58 | 35 |
| 16.81 | 64 |
| 18.64 | 18 |
| 22.01 | 20 |
| 29.14 | 100 |
| 31.14 | 45 |
| 37.77 | 28 |
| 40.67 | 18 |
| 42.67 | 24 |
| 43.17 | 67 |



Entry 6:
Theoretical powder X-ray diffraction pattern
Compound: CaPmBr5
Radiation: CuKα
Structure: a crystal structure in Alexandria, relaxed with GGA-PBE

Structural model:
```
data_CaPmBr5
_symmetry_space_group_name_H-M 'P 1'
_symmetry_Int_Tables_number 1
_symmetry_space_group_name_Hall 'P 1'
_cell_length_a 8.638
_cell_length_b 4.230
_cell_length_c 13.937
_cell_angle_alpha 90.00
_cell_angle_beta 94.45
_cell_angle_gamma 90.00
loop_
_atom_site_label
_atom_site_type_symbol
_atom_site_fract_x
_atom_site_fract_y
_atom_site_fract_z
Ca1 Ca 0.087 0.250 0.134
Ca2 Ca 0.913 0.750 0.866
Pm1 Pm 0.414 0.750 0.347
Pm2 Pm 0.586 0.250 0.653
Br1 Br 0.080 0.750 0.311
Br2 Br 0.134 0.250 0.926
Br3 Br 0.323 0.250 0.483
Br4 Br 0.343 0.750 0.136
Br5 Br 0.384 0.750 0.707
Br6 Br 0.616 0.250 0.293
Br7 Br 0.657 0.250 0.864
Br8 Br 0.677 0.750 0.517
Br9 Br 0.866 0.750 0.074
Br10 Br 0.920 0.250 0.689
```

Top 12 peaks for 2θ from 10° to 90°, low angle first:
| two_theta | I_rel |
| --- | --- |
| 10.27 | 24 |
| 11.66 | 100 |
| 21.97 | 26 |
| 26.36 | 23 |
| 27.15 | 27 |
| 29.40 | 33 |
| 29.61 | 29 |
| 29.93 | 39 |
| 31.68 | 21 |
| 32.21 | 20 |
| 42.76 | 26 |
| 52.74 | 18 |



Entry 7:
Theoretical powder X-ray diffraction pattern
Compound: CaPmBr
Radiation: CuKα
Structure: a crystal structure in Alexandria, relaxed with GGA-PBE

Structural model:
```
data_CaPmBr
_symmetry_space_group_name_H-M 'P 1'
_symmetry_Int_Tables_number 1
_symmetry_space_group_name_Hall 'P 1'
_cell_length_a 3.789
_cell_length_b 3.789
_cell_length_c 15.143
_cell_angle_alpha 90.00
_cell_angle_beta 90.00
_cell_angle_gamma 120.00
loop_
_atom_site_label
_atom_site_type_symbol
_atom_site_fract_x
_atom_site_fract_y
_atom_site_fract_z
Ca1 Ca 0.000 0.000 0.000
Ca2 Ca 0.333 0.667 0.500
Pm1 Pm 0.333 0.667 0.203
Pm2 Pm 0.333 0.667 0.797
Br1 Br 0.000 0.000 0.358
Br2 Br 0.000 0.000 0.642
```

Top 12 peaks for 2θ from 10° to 90°, low angle first:
| two_theta | I_rel |
| --- | --- |
| 11.69 | 41 |
| 27.17 | 43 |
| 29.49 | 15 |
| 29.67 | 33 |
| 32.54 | 100 |
| 36.23 | 24 |
| 40.53 | 17 |
| 48.02 | 30 |
| 56.07 | 15 |
| 59.21 | 17 |
| 65.49 | 15 |
| 79.59 | 15 |



Entry 8:
Theoretical powder X-ray diffraction pattern
Compound: CaPtBr2
Radiation: CuKα
Structure: a crystal structure in Alexandria, relaxed with GGA-PBE

Structural model:
```
data_CaPtBr2
_symmetry_space_group_name_H-M 'P 1'
_symmetry_Int_Tables_number 1
_symmetry_space_group_name_Hall 'P 1'
_cell_length_a 7.376
_cell_length_b 7.376
_cell_length_c 4.582
_cell_angle_alpha 91.09
_cell_angle_beta 91.09
_cell_angle_gamma 31.45
loop_
_atom_site_label
_atom_site_type_symbol
_atom_site_fract_x
_atom_site_fract_y
_atom_site_fract_z
Ca1 Ca 0.000 0.000 0.000
Pt1 Pt 0.500 0.500 0.500
Br1 Br 0.357 0.357 0.780
Br2 Br 0.643 0.643 0.220
```

Top 12 peaks for 2θ from 10° to 90°, low angle first:
| two_theta | I_rel |
| --- | --- |
| 12.47 | 100 |
| 23.11 | 79 |
| 23.31 | 61 |
| 30.41 | 74 |
| 31.58 | 18 |
| 35.11 | 16 |
| 35.53 | 46 |
| 38.03 | 20 |
| 43.52 | 37 |
| 45.37 | 17 |
| 49.43 | 16 |
| 50.45 | 15 |